Record 1
AcZnH5: calculated X-ray diffraction stick pattern (Cu Kα, 1.54184 Å), based on a PBE-relaxed structure.
Peak positions follow from Bragg's law for the DFT cell and can differ from measured ones.

Structural model:
```
data_AcZnH5
_symmetry_space_group_name_H-M 'I m m 2'
_symmetry_Int_Tables_number 44
_cell_length_a 5.1970
_cell_length_b 8.0589
_cell_length_c 4.5695
_cell_angle_alpha 90.00
_cell_angle_beta 90.00
_cell_angle_gamma 90.00
loop_
_symmetry_equiv_pos_as_xyz
'x,y,z'
'-x,-y,z'
'-x,y,z'
'x,-y,z'
'x+1/2,y+1/2,z+1/2'
'-x+1/2,-y+1/2,z+1/2'
'-x+1/2,y+1/2,z+1/2'
'x+1/2,-y+1/2,z+1/2'
loop_
_atom_site_label
_atom_site_type_symbol
_atom_site_fract_x
_atom_site_fract_y
_atom_site_fract_z
Ac1 Ac 0.0000 0.0000 0.0000
Zn1 Zn 0.0000 0.5000 0.1111
H1 H 0.0000 0.2677 0.1919
H2 H 0.0000 0.5000 0.4958
H3 H 0.2027 0.0000 0.4929
```

Largest 10 diffraction maxima, in order of falling intensity, 10° ≤ 2θ ≤ 90°:
2theta, I/Imax
25.96, 100.0
34.32, 96.1
22.06, 83.0
22.37, 52.7
20.33, 49.1
41.34, 31.8
44.77, 29.6
52.68, 29.5
34.52, 27.0
41.52, 23.3

---

Record 2
ErMnFeC: calculated X-ray diffraction stick pattern (Cu Kα, 1.54184 Å), based on a PBE-relaxed structure.
Peak positions follow from Bragg's law for the DFT cell and can differ from measured ones.

Structural model:
```
data_ErMnFeC
_symmetry_space_group_name_H-M 'P 4/n m m'
_symmetry_Int_Tables_number 129
_cell_length_a 3.3099
_cell_length_b 3.3099
_cell_length_c 10.0054
_cell_angle_alpha 90.00
_cell_angle_beta 90.00
_cell_angle_gamma 90.00
loop_
_symmetry_equiv_pos_as_xyz
'x,y,z'
'-x,-y,-z'
'-y+1/2,x,z'
'y+1/2,-x,-z'
'-x+1/2,-y+1/2,z'
'x+1/2,y+1/2,-z'
'y,-x+1/2,z'
'-y,x+1/2,-z'
'x+1/2,-y,-z'
'-x+1/2,y,z'
'-y,-x,-z'
'y,x,z'
'-x,y+1/2,-z'
'x,-y+1/2,z'
'y+1/2,x+1/2,-z'
'-y+1/2,-x+1/2,z'
loop_
_atom_site_label
_atom_site_type_symbol
_atom_site_fract_x
_atom_site_fract_y
_atom_site_fract_z
Er1 Er 0.2500 0.2500 0.2491
Mn1 Mn 0.2500 0.7500 0.5000
Fe1 Fe 0.2500 0.7500 0.0000
C1 C 0.2500 0.2500 0.6200
```

Largest 10 diffraction maxima, in order of falling intensity, 10° ≤ 2θ ≤ 90°:
2theta, I/Imax
42.65, 100.0
28.40, 95.3
38.31, 52.3
35.90, 38.0
55.53, 23.9
69.17, 23.0
67.91, 22.7
63.54, 20.4
53.51, 19.4
69.47, 18.0

---

Record 3
CrCd: calculated X-ray diffraction stick pattern (Cu Kα, 1.54184 Å), based on a PBE-relaxed structure.
Peak positions follow from Bragg's law for the DFT cell and can differ from measured ones.

Structural model:
```
data_CrCd
_symmetry_space_group_name_H-M 'P -3 m 1'
_symmetry_Int_Tables_number 164
_symmetry_space_group_name_Hall '-P 3 2"'
_cell_length_a 2.9266
_cell_length_b 2.9266
_cell_length_c 9.0442
_cell_angle_alpha 90.00
_cell_angle_beta 90.00
_cell_angle_gamma 120.00
loop_
_atom_site_label
_atom_site_type_symbol
_atom_site_fract_x
_atom_site_fract_y
_atom_site_fract_z
Cr1 Cr 0.3333 0.6667 0.4189
Cd1 Cd 0.3333 0.6667 0.8508
```

Largest 10 diffraction maxima, in order of falling intensity, 10° ≤ 2θ ≤ 90°:
2theta, I/Imax
40.81, 100.0
35.42, 29.6
29.63, 27.6
36.83, 25.4
63.15, 22.7
63.58, 19.4
39.87, 13.8
78.36, 13.2
71.69, 12.0
46.83, 12.0

---

Record 4
UTlTeO6: calculated X-ray diffraction stick pattern (Cu Kα, 1.54184 Å), based on a PBE-relaxed structure.
Peak positions follow from Bragg's law for the DFT cell and can differ from measured ones.

Structural model:
```
data_UTlTeO6
_symmetry_space_group_name_H-M 'I m m a'
_symmetry_Int_Tables_number 74
_symmetry_space_group_name_Hall '-I 2b 2'
_cell_length_a 7.6530
_cell_length_b 7.9742
_cell_length_c 10.9464
_cell_angle_alpha 90.00
_cell_angle_beta 90.00
_cell_angle_gamma 90.00
loop_
_atom_site_label
_atom_site_type_symbol
_atom_site_fract_x
_atom_site_fract_y
_atom_site_fract_z
U1 U 0.0000 0.0000 0.0000
Tl1 Tl 0.0000 0.2500 0.4413
Te1 Te 0.2500 0.2500 0.7500
O1 O 0.0000 0.2500 0.0640
O2 O 0.0000 0.2500 0.6891
O3 O 0.1973 0.0704 0.8796
```

Largest 10 diffraction maxima, in order of falling intensity, 10° ≤ 2θ ≤ 90°:
2theta, I/Imax
26.49, 100.0
28.46, 60.0
16.19, 29.0
27.10, 28.8
49.25, 27.0
26.87, 26.1
42.89, 24.8
35.35, 23.0
54.55, 20.4
46.74, 16.8

---

Record 5
Be8ZnAs6: calculated X-ray diffraction stick pattern (Cu Kα, 1.54184 Å), based on a PBE-relaxed structure.
Peak positions follow from Bragg's law for the DFT cell and can differ from measured ones.

Structural model:
```
data_Be8ZnAs6
_symmetry_space_group_name_H-M 'P 63 c m'
_symmetry_Int_Tables_number 185
_symmetry_space_group_name_Hall 'P 6c -2'
_cell_length_a 6.5469
_cell_length_b 6.5469
_cell_length_c 12.5515
_cell_angle_alpha 90.00
_cell_angle_beta 90.00
_cell_angle_gamma 120.00
loop_
_atom_site_label
_atom_site_type_symbol
_atom_site_fract_x
_atom_site_fract_y
_atom_site_fract_z
Be1 Be 0.0000 0.3313 0.0000
Be2 Be 0.0000 0.3349 0.3479
Be3 Be 0.3333 0.6667 0.1088
Zn1 Zn 0.0000 0.0000 0.1228
As1 As 0.0000 0.0000 0.4100
As2 As 0.0000 0.3635 0.1722
As3 As 0.3333 0.6667 0.4188
```

Largest 10 diffraction maxima, in order of falling intensity, 10° ≤ 2θ ≤ 90°:
2theta, I/Imax
30.81, 100.0
28.17, 77.7
28.44, 67.5
48.15, 61.6
56.87, 50.9
51.87, 46.1
34.77, 39.5
27.24, 32.9
39.79, 23.7
45.54, 21.5

---

Record 6
Ce2TiInN5: calculated X-ray diffraction stick pattern (Cu Kα, 1.54184 Å), based on a PBE-relaxed structure.
Peak positions follow from Bragg's law for the DFT cell and can differ from measured ones.

Structural model:
```
data_Ce2TiInN5
_symmetry_space_group_name_H-M 'C m c 21'
_symmetry_Int_Tables_number 36
_cell_length_a 3.3970
_cell_length_b 13.5990
_cell_length_c 10.4528
_cell_angle_alpha 90.00
_cell_angle_beta 90.00
_cell_angle_gamma 90.00
loop_
_symmetry_equiv_pos_as_xyz
'x,y,z'
'-x,-y,z+1/2'
'-x,y,z'
'x,-y,z+1/2'
'x+1/2,y+1/2,z'
'-x+1/2,-y+1/2,z+1/2'
'-x+1/2,y+1/2,z'
'x+1/2,-y+1/2,z+1/2'
loop_
_atom_site_label
_atom_site_type_symbol
_atom_site_fract_x
_atom_site_fract_y
_atom_site_fract_z
Ce1 Ce 0.0000 0.1133 0.0000
Ce2 Ce 0.0000 0.1383 0.5931
Ti1 Ti 0.0000 0.2226 0.3145
In1 In 0.0000 0.4688 0.7831
N1 N 0.0000 0.0755 0.3837
N2 N 0.0000 0.2754 0.9743
N3 N 0.0000 0.2936 0.7004
N4 N 0.0000 0.3647 0.3300
N5 N 0.0000 0.4978 0.0837
```

Largest 10 diffraction maxima, in order of falling intensity, 10° ≤ 2θ ≤ 90°:
2theta, I/Imax
32.11, 100.0
31.39, 73.0
28.79, 61.4
32.95, 60.7
37.57, 38.2
63.80, 27.4
53.98, 25.2
55.45, 24.9
40.74, 23.3
34.08, 21.4